Starting from a cell relaxed with PBE+U, the X-ray powder pattern of KNiAg2F8 was simulated for λ = 1.5418 Å (Cu Kα).
Lines closer than 0.1° are merged.

Structural model:
Unit cell a=6.980 b=6.980 c=6.980 alpha=131.64 beta=131.64 gamma=70.80
Fractional positions:
K: 0.000 0.000 0.000
Ni: 0.250 0.750 0.500
Ag: 0.500 0.500 0.000
Ag: 0.750 0.250 0.500
F: 0.106 0.245 0.573
F: 0.154 0.671 0.139
F: 0.329 0.467 0.483
F: 0.467 0.894 0.139
F: 0.533 0.016 0.861
F: 0.672 0.533 0.427
F: 0.755 0.328 0.861
F: 0.984 0.846 0.517

Peak list (10 most intense, 2θ from 10° to 90°, by intensity)
- 2θ 27.06, intensity 100
- 2θ 44.95, intensity 35
- 2θ 53.15, intensity 26
- 2θ 17.36, intensity 21
- 2θ 31.29, intensity 17
- 2θ 44.83, intensity 15
- 2θ 53.36, intensity 13
- 2θ 72.19, intensity 11
- 2θ 74.20, intensity 11
- 2θ 55.79, intensity 10

***

Starting from a cell relaxed with PBE+U, the X-ray powder pattern of Al2CdWO8 was simulated for λ = 1.5418 Å (Cu Kα).
Lines closer than 0.1° are merged.

Structural model:
Unit cell a=4.602 b=6.386 c=4.610 alpha=90.00 beta=90.88 gamma=90.00
Fractional positions:
Al: 0.000 0.218 0.000
Al: 0.000 0.782 0.000
Cd: 0.500 0.500 0.500
W: 0.500 0.000 0.500
O: 0.121 0.500 0.881
O: 0.197 0.000 0.804
O: 0.291 0.218 0.292
O: 0.291 0.782 0.292
O: 0.709 0.218 0.708
O: 0.709 0.782 0.708
O: 0.803 0.000 0.196
O: 0.879 0.500 0.119

Peak list (10 most intense, 2θ from 10° to 90°, by intensity)
- 2θ 19.27, intensity 100
- 2θ 34.17, intensity 87
- 2θ 27.17, intensity 72
- 2θ 27.60, intensity 57
- 2θ 39.68, intensity 44
- 2θ 52.65, intensity 41
- 2θ 53.15, intensity 35
- 2θ 48.76, intensity 27
- 2θ 27.94, intensity 27
- 2θ 39.12, intensity 25

***

Which formula does entry 1 have? KNiAg2F8